Record 1
Structure and computed XRD peak list of SiTcIrAu2C (a structure optimized by DFT (GGA-PBE); Cu Kα X-rays).
No peak broadening, texture or thermal motion is included.

Atomic structure:
a = 5.0505 Å, b = 2.8530 Å, c = 6.6309 Å
α = 90.00°, β = 91.43°, γ = 90.00°
Space group Pm (No. 6)
Unique sites:
Si1 0.0000 0.0000 0.0000
Tc1 0.9146 0.5000 0.3130
Ir1 0.1290 0.5000 0.7167
Au1 0.4398 0.0000 0.3686
Au2 0.5629 0.5000 0.9670
C1 0.0220 0.0000 0.5106

Largest 10 diffraction maxima, low angle first, 10° ≤ 2θ ≤ 90°:
(hkl)	d_spacing	Position (°2θ)	Rel. int.
1 0 -1	4.066	21.86	17
1 0 1	3.969	22.40	28
0 0 2	3.314	26.90	18
1 0 -2	2.803	31.93	35
1 0 2	2.740	32.69	18
0 1 1	2.621	34.22	33
1 1 -1	2.337	38.53	100
0 0 3	2.210	40.84	24
1 1 2	1.976	45.93	48
2 1 -3	1.450	64.25	16


Record 2
Structure and computed XRD peak list of Fe2AsW2 (a structure optimized by DFT (GGA-PBE); Cu Kα X-rays).
No peak broadening, texture or thermal motion is included.

Atomic structure:
a = 7.2013 Å, b = 7.2013 Å, c = 2.8120 Å
α = 90.00°, β = 90.00°, γ = 90.00°
Space group P4/mbm (No. 127)
Unique sites:
Fe1 0.1323 0.3677 0.0000
As1 0.0000 0.0000 0.5000
W1 0.1566 0.6566 0.5000

Largest 10 diffraction maxima, low angle first, 10° ≤ 2θ ≤ 90°:
(hkl)	d_spacing	Position (°2θ)	Rel. int.
1 1 0	5.092	17.42	14
2 1 0	3.221	27.70	43
0 0 1	2.812	31.82	21
3 1 0	2.277	39.57	53
2 1 1	2.118	42.69	100
3 1 1	1.770	51.65	20
3 3 0	1.697	54.03	11
4 1 1	1.484	62.61	13
5 2 1	1.208	79.34	22
3 1 2	1.196	80.24	13


Record 3
Structure and computed XRD peak list of MgTiInBr6 (a structure optimized by DFT (GGA-PBE); Cu Kα X-rays).
No peak broadening, texture or thermal motion is included.

Atomic structure:
a = 6.8977 Å, b = 11.9432 Å, c = 7.2032 Å
α = 90.00°, β = 90.16°, γ = 90.00°
Space group C2 (No. 5)
Unique sites:
Mg1 0.0000 0.0000 0.0000
Ti1 0.0000 0.3337 0.0000
In1 0.0000 0.6671 0.5000
Br1 0.1256 0.1714 0.2107
Br2 0.1800 0.4773 0.2102
Br3 0.1937 0.8504 0.2095

Largest 10 diffraction maxima, low angle first, 10° ≤ 2θ ≤ 90°:
(hkl)	d_spacing	Position (°2θ)	Rel. int.
0 2 1	4.598	19.31	50
2 0 1	3.110	28.70	100
1 1 -2	3.084	28.95	12
2 2 0	2.986	29.92	16
1 3 2	2.491	36.06	63
3 1 -1	2.154	41.94	22
0 6 0	1.991	45.56	30
1 3 -3	1.972	46.03	10
2 6 1	1.677	54.74	11
3 5 -1	1.614	57.05	14


Record 4
Structure and computed XRD peak list of Er2Sn4Pb (a structure optimized by DFT (GGA-PBE); Cu Kα X-rays).
No peak broadening, texture or thermal motion is included.

Atomic structure:
a = 9.1945 Å, b = 9.3534 Å, c = 6.5242 Å
α = 90.00°, β = 134.45°, γ = 90.00°
Space group C2/m (No. 12)
Unique sites:
Er1 0.2500 0.2500 0.0000
Sn1 0.0000 0.0000 0.0000
Sn2 0.0000 0.5000 0.0000
Sn3 0.2500 0.2500 0.5000
Pb1 0.0000 0.0000 0.5000

Largest 10 diffraction maxima, low angle first, 10° ≤ 2θ ≤ 90°:
(hkl)	d_spacing	Position (°2θ)	Rel. int.
1 1 0	5.362	16.53	43
2 2 0	2.686	33.35	100
2 2 -2	2.675	33.50	99
0 4 0	2.338	38.50	34
0 0 2	2.329	38.66	34
4 0 -2	2.299	39.19	32
0 4 2	1.650	55.71	24
4 0 0	1.640	56.08	35
2 6 0	1.407	66.43	29
2 2 2	1.406	66.53	14


Record 5
Structure and computed XRD peak list of LaBr3N2 (a structure optimized by DFT (GGA-PBE); Cu Kα X-rays).
No peak broadening, texture or thermal motion is included.

Atomic structure:
a = 17.8699 Å, b = 5.9011 Å, c = 8.8998 Å
α = 90.00°, β = 90.00°, γ = 90.00°
Space group Cmcm (No. 63)
Unique sites:
La1 0.0000 0.0014 0.2500
Br1 0.0000 0.4989 0.7500
Br2 0.1095 0.0000 0.0000
N1 0.1925 0.4991 0.7500

Largest 10 diffraction maxima, low angle first, 10° ≤ 2θ ≤ 90°:
(hkl)	d_spacing	Position (°2θ)	Rel. int.
1 1 0	5.604	15.82	83
2 0 2	3.983	22.32	35
4 0 2	3.153	28.31	100
3 1 2	3.053	29.25	44
0 2 0	2.951	30.29	51
2 2 0	2.802	31.94	27
5 1 2	2.520	35.63	26
6 0 2	2.475	36.30	38
4 2 2	2.155	41.92	81
6 2 2	1.896	47.98	34


Record 6
Structure and computed XRD peak list of LaPr2Hg5 (a structure optimized by DFT (GGA-PBE); Cu Kα X-rays).
No peak broadening, texture or thermal motion is included.

Atomic structure:
a = 5.3779 Å, b = 5.3779 Å, c = 15.2710 Å
α = 90.00°, β = 90.00°, γ = 90.00°
Space group I4/mmm (No. 139)
Unique sites:
La1 0.0000 0.0000 0.0000
Pr1 0.0000 0.0000 0.2701
Hg1 0.0000 0.0000 0.5000
Hg2 0.0000 0.5000 0.1226

Largest 10 diffraction maxima, low angle first, 10° ≤ 2θ ≤ 90°:
(hkl)	d_spacing	Position (°2θ)	Rel. int.
2 0 0	2.692	33.28	100
0 0 8	1.909	47.64	5
2 2 0	1.901	47.84	13
2 0 8	1.557	59.38	11
3 1 4	1.553	59.50	25
2 2 8	1.347	69.82	7
4 0 0	1.344	69.98	4
1 1 12	1.207	79.41	4
4 2 0	1.203	79.73	12
4 0 8	1.099	89.07	4